# 1
Diffraction record for Sc2Mn2Si2Ge. The X-ray diffraction stick pattern is simulated, not measured: it uses a PBE-relaxed structure and Cu Kα (weighted mean of Kα1 and Kα2).

Crystal structure
```
Sc2Mn2Si2Ge
1.0
4.233 0.000 0.000
0.000 4.233 0.000
0.000 0.000 13.700
Sc Mn Si Ge
4 4 4 2
direct
0.000 0.000 0.186
0.000 0.000 0.814
0.500 0.500 0.314
0.500 0.500 0.686
0.000 0.500 0.000
0.000 0.500 0.500
0.500 0.000 0.000
0.500 0.000 0.500
0.000 0.000 0.391
0.000 0.000 0.609
0.500 0.500 0.109
0.500 0.500 0.891
0.000 0.000 0.000
0.500 0.500 0.500
```

Peak list (6 most intense, 15 to 90 degrees two-theta, by angle)
Position (°2θ)	I/Imax
21.98	43
26.02	29
39.16	100
42.72	96
59.33	55
62.00	30

=====

# 2
Diffraction record for MnGeSe4. The X-ray diffraction stick pattern is simulated, not measured: it uses a PBE-relaxed structure and Cu Kα (weighted mean of Kα1 and Kα2).

Crystal structure
```
MnGeSe4
1.0
5.887 0.000 0.000
0.000 5.887 0.000
0.000 0.000 9.206
Mn Ge Se
2 2 8
direct
0.000 0.000 0.000
0.000 0.000 0.500
0.000 0.500 0.250
0.500 0.000 0.750
0.251 0.267 0.394
0.251 0.733 0.106
0.267 0.251 0.894
0.267 0.749 0.606
0.733 0.251 0.606
0.733 0.749 0.894
0.749 0.267 0.106
0.749 0.733 0.394
```

Peak list (6 most intense, 15 to 90 degrees two-theta, by angle)
Position (°2θ)	I/Imax
17.88	21
28.92	100
30.37	13
43.48	28
50.33	31
53.07	34

=====

- Which formula does entry 2 have?
  MnGeSe4